Entry 1:
# Na3La2F8
Simulated powder XRD pattern, CuKα. Input: DFT lattice parameters and positions (GGA-PBE).

```
data_Na3La2F8
_cell_length_a 7.1642
_cell_length_b 3.9795
_cell_length_c 7.2179
_cell_angle_alpha 90.00
_cell_angle_beta 112.78
_cell_angle_gamma 90.00
_symmetry_space_group_name_H-M 'P 1'
_symmetry_Int_Tables_number 1
loop_
_symmetry_equiv_pos_as_xyz
'x,y,z'
loop_
_atom_site_label
_atom_site_fract_x
_atom_site_fract_y
_atom_site_fract_z
Na1 0.0000 0.0000 0.0000
Na2 0.2723 0.5000 0.2807
Na3 0.7277 0.5000 0.7193
La1 0.2746 0.0000 0.7536
La2 0.7254 0.0000 0.2464
F1 0.1086 0.0000 0.3770
F2 0.1143 0.5000 0.8674
F3 0.3475 0.0000 0.1302
F4 0.3717 0.5000 0.6198
F5 0.6283 0.5000 0.3802
F6 0.6525 0.0000 0.8698
F7 0.8857 0.5000 0.1326
F8 0.8914 0.0000 0.6230
```

Most intense lines, 5 to 70 degrees two-theta, in order of rising 2θ:
| 2theta | d/Å | I (rel.) |
| --- | --- | --- |
| 14.8 | 5.989 | 589 |
| 22.3 | 3.980 | 771 |
| 26.8 | 3.328 | 353 |
| 26.9 | 3.311 | 1000 |
| 44.0 | 2.057 | 495 |
| 44.3 | 2.045 | 432 |
| 45.6 | 1.990 | 431 |
| 51.3 | 1.780 | 201 |

---

Entry 2:
# La3NbSe2O4F2
Simulated powder XRD pattern, CuKα. Input: DFT lattice parameters and positions (GGA-PBE).

```
data_La3NbSe2O4F2
_cell_length_a 11.4162
_cell_length_b 4.0292
_cell_length_c 18.2762
_cell_angle_alpha 90.00
_cell_angle_beta 90.00
_cell_angle_gamma 90.00
_symmetry_space_group_name_H-M 'P 1'
_symmetry_Int_Tables_number 1
loop_
_symmetry_equiv_pos_as_xyz
'x,y,z'
loop_
_atom_site_label
_atom_site_fract_x
_atom_site_fract_y
_atom_site_fract_z
La1 0.0047 0.2500 0.1067
La2 0.0654 0.2500 0.6981
La3 0.2068 0.7500 0.4680
La4 0.2932 0.2500 0.9680
La5 0.4346 0.7500 0.1981
La6 0.4953 0.7500 0.6067
La7 0.5047 0.2500 0.3933
La8 0.5654 0.2500 0.8019
La9 0.7068 0.7500 0.0320
La10 0.7932 0.2500 0.5320
La11 0.9346 0.7500 0.3019
La12 0.9953 0.7500 0.8933
Nb1 0.1932 0.2500 0.3051
Nb2 0.3068 0.7500 0.8051
Nb3 0.6932 0.2500 0.1949
Nb4 0.8068 0.7500 0.6949
Se1 0.0071 0.2500 0.4206
Se2 0.2162 0.7500 0.0911
Se3 0.2838 0.2500 0.5911
Se4 0.4929 0.7500 0.9206
Se5 0.5071 0.2500 0.0794
Se6 0.7162 0.7500 0.4089
Se7 0.7838 0.2500 0.9089
Se8 0.9929 0.7500 0.5794
O1 0.0526 0.2500 0.2459
O2 0.1711 0.7500 0.3214
O3 0.1854 0.7500 0.7384
O4 0.2166 0.7500 0.9012
O5 0.2834 0.2500 0.4012
O6 0.3146 0.2500 0.2384
O7 0.3289 0.2500 0.8214
O8 0.4474 0.7500 0.7459
O9 0.5526 0.2500 0.2541
O10 0.6711 0.7500 0.1786
O11 0.6854 0.7500 0.7616
O12 0.7166 0.7500 0.5988
O13 0.7834 0.2500 0.0988
O14 0.8146 0.2500 0.2616
O15 0.8289 0.2500 0.6786
O16 0.9474 0.7500 0.7541
F1 0.0592 0.2500 0.8311
F2 0.0689 0.2500 0.9737
F3 0.4311 0.7500 0.4737
F4 0.4408 0.7500 0.3311
F5 0.5592 0.2500 0.6689
F6 0.5689 0.2500 0.5263
F7 0.9311 0.7500 0.0263
F8 0.9408 0.7500 0.1689
```

Most intense lines, 5 to 70 degrees two-theta, in order of rising 2θ:
| 2theta | d/Å | I (rel.) |
| --- | --- | --- |
| 25.6 | 3.481 | 311 |
| 27.7 | 3.224 | 421 |
| 28.8 | 3.097 | 249 |
| 30.9 | 2.896 | 1000 |
| 31.7 | 2.820 | 180 |
| 38.7 | 2.329 | 203 |
| 41.2 | 2.191 | 170 |
| 45.0 | 2.015 | 312 |

---

Entry 3:
# LaNd2F11
Simulated powder XRD pattern, CuKα. Input: DFT lattice parameters and positions (GGA-PBE).

```
data_LaNd2F11
_cell_length_a 9.1182
_cell_length_b 9.1182
_cell_length_c 9.1182
_cell_angle_alpha 122.49
_cell_angle_beta 108.87
_cell_angle_gamma 98.01
_symmetry_space_group_name_H-M 'P 1'
_symmetry_Int_Tables_number 1
loop_
_symmetry_equiv_pos_as_xyz
'x,y,z'
loop_
_atom_site_label
_atom_site_fract_x
_atom_site_fract_y
_atom_site_fract_z
La1 0.2500 0.2500 0.0000
La2 0.7500 0.7500 0.0000
Nd1 0.1900 0.6605 0.8506
Nd2 0.3100 0.1605 0.4705
Nd3 0.6900 0.8395 0.5295
Nd4 0.8100 0.3395 0.1494
F1 0.0000 0.5000 0.5000
F2 0.0300 0.9639 0.2772
F3 0.0535 0.3348 0.1268
F4 0.1867 0.4639 0.9339
F5 0.1897 0.3924 0.5821
F6 0.2080 0.9266 0.8732
F7 0.2920 0.1652 0.7186
F8 0.3103 0.8924 0.2027
F9 0.3133 0.2472 0.2772
F10 0.4465 0.5734 0.2814
F11 0.4700 0.7472 0.9339
F12 0.5000 0.0000 0.5000
F13 0.5300 0.2528 0.0661
F14 0.5535 0.4266 0.7186
F15 0.6867 0.7528 0.7228
F16 0.6897 0.1076 0.7973
F17 0.7080 0.8348 0.2814
F18 0.7920 0.0734 0.1268
F19 0.8103 0.6076 0.4179
F20 0.8133 0.5361 0.0661
F21 0.9465 0.6652 0.8732
F22 0.9700 0.0361 0.7228
```

Most intense lines, 5 to 70 degrees two-theta, in order of rising 2θ:
| 2theta | d/Å | I (rel.) |
| --- | --- | --- |
| 14.8 | 5.981 | 324 |
| 19.8 | 4.480 | 1000 |
| 20.9 | 4.243 | 444 |
| 22.4 | 3.968 | 830 |
| 23.2 | 3.839 | 685 |
| 29.9 | 2.993 | 302 |
| 40.8 | 2.210 | 318 |
| 42.9 | 2.109 | 465 |

---

Number 1 is which compound?
Na3La2F8

---

Copy entry 2 word for word.
# La3NbSe2O4F2
Simulated powder XRD pattern, CuKα. Input: DFT lattice parameters and positions (GGA-PBE).

```
data_La3NbSe2O4F2
_cell_length_a 11.4162
_cell_length_b 4.0292
_cell_length_c 18.2762
_cell_angle_alpha 90.00
_cell_angle_beta 90.00
_cell_angle_gamma 90.00
_symmetry_space_group_name_H-M 'P 1'
_symmetry_Int_Tables_number 1
loop_
_symmetry_equiv_pos_as_xyz
'x,y,z'
loop_
_atom_site_label
_atom_site_fract_x
_atom_site_fract_y
_atom_site_fract_z
La1 0.0047 0.2500 0.1067
La2 0.0654 0.2500 0.6981
La3 0.2068 0.7500 0.4680
La4 0.2932 0.2500 0.9680
La5 0.4346 0.7500 0.1981
La6 0.4953 0.7500 0.6067
La7 0.5047 0.2500 0.3933
La8 0.5654 0.2500 0.8019
La9 0.7068 0.7500 0.0320
La10 0.7932 0.2500 0.5320
La11 0.9346 0.7500 0.3019
La12 0.9953 0.7500 0.8933
Nb1 0.1932 0.2500 0.3051
Nb2 0.3068 0.7500 0.8051
Nb3 0.6932 0.2500 0.1949
Nb4 0.8068 0.7500 0.6949
Se1 0.0071 0.2500 0.4206
Se2 0.2162 0.7500 0.0911
Se3 0.2838 0.2500 0.5911
Se4 0.4929 0.7500 0.9206
Se5 0.5071 0.2500 0.0794
Se6 0.7162 0.7500 0.4089
Se7 0.7838 0.2500 0.9089
Se8 0.9929 0.7500 0.5794
O1 0.0526 0.2500 0.2459
O2 0.1711 0.7500 0.3214
O3 0.1854 0.7500 0.7384
O4 0.2166 0.7500 0.9012
O5 0.2834 0.2500 0.4012
O6 0.3146 0.2500 0.2384
O7 0.3289 0.2500 0.8214
O8 0.4474 0.7500 0.7459
O9 0.5526 0.2500 0.2541
O10 0.6711 0.7500 0.1786
O11 0.6854 0.7500 0.7616
O12 0.7166 0.7500 0.5988
O13 0.7834 0.2500 0.0988
O14 0.8146 0.2500 0.2616
O15 0.8289 0.2500 0.6786
O16 0.9474 0.7500 0.7541
F1 0.0592 0.2500 0.8311
F2 0.0689 0.2500 0.9737
F3 0.4311 0.7500 0.4737
F4 0.4408 0.7500 0.3311
F5 0.5592 0.2500 0.6689
F6 0.5689 0.2500 0.5263
F7 0.9311 0.7500 0.0263
F8 0.9408 0.7500 0.1689
```

Most intense lines, 5 to 70 degrees two-theta, in order of rising 2θ:
| 2theta | d/Å | I (rel.) |
| --- | --- | --- |
| 25.6 | 3.481 | 311 |
| 27.7 | 3.224 | 421 |
| 28.8 | 3.097 | 249 |
| 30.9 | 2.896 | 1000 |
| 31.7 | 2.820 | 180 |
| 38.7 | 2.329 | 203 |
| 41.2 | 2.191 | 170 |
| 45.0 | 2.015 | 312 |